This entry pairs a crystal structure of NaV4Cd3O12 with its theoretical powder X-ray diffraction pattern. Radiation: copper Kα. Structure: a crystal structure in Alexandria, relaxed with PBE+U.

Most intense lines, 2θ = 10–90°, sorted by position:
(0 0 1), 2θ 11.55, 7.660 Å, I = 9
(1 -1 2), 2θ 33.13, 2.704 Å, I = 100
(2 0 0), 2θ 33.44, 2.680 Å, I = 47
(0 2 2), 2θ 41.00, 2.201 Å, I = 9
(0 0 4), 2θ 47.48, 1.915 Å, I = 16
(2 -2 0), 2θ 47.71, 1.906 Å, I = 15
(2 2 0), 2θ 47.96, 1.897 Å, I = 15
(2 0 -4), 2θ 59.11, 1.563 Å, I = 13
(3 1 -2), 2θ 59.52, 1.553 Å, I = 20
(2 -2 4), 2θ 69.59, 1.351 Å, I = 10

Crystal structure
```
20
Lattice="5.3545 0.0000 0.0000 -0.0264 5.4036 0.0000 -0.0543 -0.0496 7.6600" Properties=species:S:1:pos:R:3 pbc="T T T"
Na 0.0000 0.0000 0.0000
V 2.5475 5.2056 1.8130
V 2.5452 5.1904 5.7164
V 5.2556 2.4962 1.9297
V 5.2769 2.4902 5.7770
Cd 2.6041 2.6937 0.0158
Cd 2.6467 2.2972 3.8177
Cd 5.1981 5.0166 3.8168
O 0.3874 2.6099 3.7906
O 1.0089 3.9577 6.0662
O 1.1089 4.1092 1.6415
O 1.5750 1.3711 1.5764
O 1.5582 1.2967 6.1380
O 2.0762 5.3626 3.8431
O 3.0309 5.0848 0.0887
O 3.6818 3.6677 2.3307
O 3.6633 3.6706 5.4440
O 4.1546 0.9090 2.2909
O 4.2321 0.9672 5.4462
O 4.8618 2.4489 0.1004
```